Record 1
Starting from a crystal structure in Alexandria, relaxed with GGA-PBE, the powder XRD pattern of Ba3S2O was calculated for Cu Kα, 1.54184 Å.

Largest 10 diffraction maxima, by angle, 2θ = 5–70°:
2θ 22.62, rel. 47, hkl 1 3 0; 2θ 23.07, rel. 100, hkl 1 1 3; 2θ 23.17, rel. 63, hkl 1 3 -1; 2θ 25.18, rel. 55, hkl 1 3 -2; 2θ 25.96, rel. 100, hkl 2 0 -2; 2θ 27.04, rel. 54, hkl 0 2 4; 2θ 28.24, rel. 52, hkl 2 2 1; 2θ 29.46, rel. 57, hkl 1 3 3; 2θ 32.54, rel. 64, hkl 0 2 5; 2θ 49.29, rel. 53, hkl 3 5 0

Structure:
Lattice parameters (Å, degrees): 7.4567 13.8890 15.0270 90.00 94.20 90.00
Space group C2/c (No. 15)
One atom of each set of equivalent atoms:
Ba: 0.0000 0.0246 0.2500 [4 per cell]
Ba: 0.0000 0.3924 0.2500 [4 per cell]
Ba: 0.1507 0.3252 0.8722 [8 per cell]
Ba: 0.1957 0.1007 0.5282 [8 per cell]
S: 0.2177 0.1022 0.9253 [8 per cell]
S: 0.2344 0.2091 0.3403 [8 per cell]
O: 0.2217 0.4982 0.8404 [8 per cell]

Record 2
Starting from a crystal structure in Alexandria, relaxed with GGA-PBE, the powder XRD pattern of BaScS2O8 was calculated for Cu Kα, 1.54184 Å.

Largest 10 diffraction maxima, by angle, 2θ = 5–70°:
2θ 11.65, rel. 27, hkl 0 0 1; 2θ 19.17, rel. 73, hkl 1 0 0; 2θ 22.49, rel. 91, hkl 1 0 1; 2θ 30.44, rel. 100, hkl 0 1 2; 2θ 33.53, rel. 63, hkl 1 1 0; 2θ 35.61, rel. 30, hkl 1 1 1; 2θ 41.30, rel. 29, hkl 2 -1 2; 2θ 45.91, rel. 48, hkl 0 2 2; 2θ 58.03, rel. 25, hkl 2 1 2; 2θ 59.73, rel. 23, hkl 1 1 4

Structure:
Lattice parameters (Å, degrees): 5.3458 5.3458 7.5970 90.00 90.00 120.00
Space group P-3 (No. 147)
One atom of each set of equivalent atoms:
Ba: 0.0000 0.0000 0.0000 [1 per cell]
Sc: 0.0000 0.0000 0.5000 [1 per cell]
S: 0.3333 0.6667 0.7523 [2 per cell]
O: 0.1775 0.3612 0.6898 [6 per cell]
O: 0.3333 0.6667 0.9478 [2 per cell]

Record 3
Starting from a crystal structure in Alexandria, relaxed with GGA-PBE, the powder XRD pattern of BaSrS2O8 was calculated for Cu Kα, 1.54184 Å.

Largest 10 diffraction maxima, by angle, 2θ = 5–70°:
2θ 18.76, rel. 76, hkl 1 0 0; 2θ 21.73, rel. 49, hkl 1 0 1; 2θ 28.92, rel. 100, hkl 1 0 2; 2θ 32.80, rel. 55, hkl 1 1 0; 2θ 39.73, rel. 36, hkl 2 -1 2; 2θ 44.28, rel. 45, hkl 0 2 2; 2θ 48.64, rel. 16, hkl 1 0 4; 2θ 51.09, rel. 16, hkl 1 2 0; 2θ 56.18, rel. 24, hkl 2 1 2; 2θ 56.33, rel. 19, hkl 1 1 4

Structure:
Lattice parameters (Å, degrees): 5.4616 5.4616 8.1525 90.00 90.00 120.00
Space group P-3 (No. 147)
One atom of each set of equivalent atoms:
Ba: 0.0000 0.0000 0.0000 [1 per cell]
Sr: 0.0000 0.0000 0.5000 [1 per cell]
S: 0.3333 0.6667 0.7785 [2 per cell]
O: 0.1804 0.3695 0.7168 [6 per cell]
O: 0.3333 0.6667 0.9603 [2 per cell]